Record 1
Calculated XRD peak list of CaYNiAu for Cu Kα (weighted mean of Kα1 and Kα2), from a structure optimized by DFT (GGA-PBE).
Peak positions follow from Bragg's law for the DFT cell and can differ from measured ones.

Main lines, low angle first (2θ = 10–90°):
d [Å], I (rel.)
4.064, 28.9
3.519, 12.9
2.488, 100.0
2.122, 16.5
1.760, 17.3
1.615, 7.3
1.574, 5.7
1.437, 34.8
1.355, 5.6
1.244, 10.8
1.190, 5.8
1.113, 15.6

Structure:
Cell: 7.0385 7.0385 7.0385 Å, 90.00 90.00 90.00°
Element x y z (fractional)
Ca 0.0000 0.0000 0.0000
Ca 0.0000 0.5000 0.5000
Ca 0.5000 0.0000 0.5000
Ca 0.5000 0.5000 0.0000
Y 0.0000 0.0000 0.5000
Y 0.0000 0.5000 0.0000
Y 0.5000 0.0000 0.0000
Y 0.5000 0.5000 0.5000
Ni 0.2500 0.2500 0.7500
Ni 0.2500 0.7500 0.2500
Ni 0.7500 0.2500 0.2500
Ni 0.7500 0.7500 0.7500
Au 0.2500 0.2500 0.2500
Au 0.2500 0.7500 0.7500
Au 0.7500 0.2500 0.7500
Au 0.7500 0.7500 0.2500

=====

Record 2
Calculated XRD peak list of Ca2ZnNiAu6 for Cu Kα (weighted mean of Kα1 and Kα2), from a structure optimized by DFT (GGA-PBE).
Peak positions follow from Bragg's law for the DFT cell and can differ from measured ones.

Main lines, low angle first (2θ = 10–90°):
d [Å], I (rel.)
4.880, 44.0
2.817, 100.0
2.440, 78.1
2.182, 23.1
1.725, 54.7
1.627, 11.6
1.471, 42.9
1.409, 18.6
1.220, 8.8
1.183, 6.7
1.119, 19.0
1.091, 26.4

Structure:
Cell: 6.9007 6.9007 6.9007 Å, 60.00 60.00 60.00°
Element x y z (fractional)
Ca 0.2500 0.2500 0.2500
Ca 0.7500 0.7500 0.7500
Zn 0.0000 0.0000 0.0000
Ni 0.5000 0.5000 0.5000
Au 0.2520 0.2520 0.7480
Au 0.2520 0.7480 0.2520
Au 0.2520 0.7480 0.7480
Au 0.7480 0.2520 0.2520
Au 0.7480 0.2520 0.7480
Au 0.7480 0.7480 0.2520

=====

Record 3
Calculated XRD peak list of Ca6Au2O for Cu Kα (weighted mean of Kα1 and Kα2), from a structure optimized by DFT (GGA-PBE).
Peak positions follow from Bragg's law for the DFT cell and can differ from measured ones.

Main lines, low angle first (2θ = 10–90°):
d [Å], I (rel.)
5.051, 97.6
4.795, 72.9
4.526, 57.5
4.414, 53.7
3.533, 100.0
3.426, 37.2
2.976, 55.9
2.817, 35.2
2.461, 34.4
2.447, 52.4
2.398, 33.8
2.311, 42.7

Structure:
Cell: 6.7636 7.6027 11.5137 Å, 90.00 123.60 90.00°
Element x y z (fractional)
Ca 0.1264 0.0289 0.2393
Ca 0.1264 0.4711 0.7393
Ca 0.2157 0.7024 0.0565
Ca 0.2157 0.7976 0.5565
Ca 0.3563 0.1675 0.0520
Ca 0.3563 0.3325 0.5520
Ca 0.6437 0.6675 0.4480
Ca 0.6437 0.8325 0.9480
Ca 0.7843 0.2024 0.4435
Ca 0.7843 0.2976 0.9435
Ca 0.8736 0.5289 0.2607
Ca 0.8736 0.9711 0.7607
Au 0.2887 0.1019 0.7517
Au 0.2887 0.3981 0.2517
Au 0.7113 0.6019 0.7483
Au 0.7113 0.8981 0.2483
O 0.0000 0.0000 0.0000
O 0.0000 0.5000 0.5000

=====

Record 4
Calculated XRD peak list of CaPbAuO5 for Cu Kα (weighted mean of Kα1 and Kα2), from a structure optimized by DFT (GGA-PBE).
Peak positions follow from Bragg's law for the DFT cell and can differ from measured ones.

Main lines, low angle first (2θ = 10–90°):
d [Å], I (rel.)
5.827, 78.9
5.218, 24.1
3.147, 70.4
3.029, 64.4
2.979, 100.0
2.914, 78.9
2.751, 42.2
2.261, 37.5
1.969, 27.5
1.739, 30.0
1.667, 20.1
1.579, 21.9

Structure:
Cell: 6.7070 6.7070 6.1448 Å, 111.64 111.64 99.86°
Element x y z (fractional)
Ca 0.1110 0.8890 0.7500
Ca 0.8890 0.1110 0.2500
Pb 0.0000 0.5000 0.0000
Pb 0.5000 0.0000 0.5000
Au 0.4364 0.5636 0.7500
Au 0.5636 0.4364 0.2500
O 0.1248 0.8752 0.2500
O 0.1281 0.5364 0.7340
O 0.2609 0.4000 0.2605
O 0.4000 0.2609 0.7605
O 0.4636 0.8719 0.7660
O 0.5364 0.1281 0.2340
O 0.6000 0.7391 0.2395
O 0.7391 0.6000 0.7395
O 0.8719 0.4636 0.2660
O 0.8752 0.1248 0.7500

=====

Record 5
Calculated XRD peak list of CaPr2AuO5 for Cu Kα (weighted mean of Kα1 and Kα2), from a structure optimized by DFT (GGA-PBE).
Peak positions follow from Bragg's law for the DFT cell and can differ from measured ones.

Main lines, low angle first (2θ = 10–90°):
d [Å], I (rel.)
4.798, 56.4
3.063, 42.4
3.035, 18.0
2.968, 100.0
2.719, 48.4
2.582, 15.9
2.399, 23.7
2.156, 37.9
2.025, 45.4
1.889, 21.1
1.750, 21.6
1.479, 16.5

Structure:
Cell: 6.7858 6.7858 6.1266 Å, 90.00 90.00 90.00°
Element x y z (fractional)
Ca 0.0000 0.0000 0.0000
Ca 0.5000 0.5000 0.0000
Pr 0.1707 0.3293 0.5000
Pr 0.3293 0.8293 0.5000
Pr 0.6707 0.1707 0.5000
Pr 0.8293 0.6707 0.5000
Au 0.0000 0.5000 0.0000
Au 0.5000 0.0000 0.0000
O 0.0000 0.0000 0.5000
O 0.1519 0.6519 0.2509
O 0.1519 0.6519 0.7491
O 0.3481 0.1519 0.2509
O 0.3481 0.1519 0.7491
O 0.5000 0.5000 0.5000
O 0.6519 0.8481 0.2509
O 0.6519 0.8481 0.7491
O 0.8481 0.3481 0.2509
O 0.8481 0.3481 0.7491

=====

Record 6
Calculated XRD peak list of CaOsAu for Cu Kα (weighted mean of Kα1 and Kα2), from a structure optimized by DFT (GGA-PBE).
Peak positions follow from Bragg's law for the DFT cell and can differ from measured ones.

Main lines, low angle first (2θ = 10–90°):
d [Å], I (rel.)
4.861, 100.0
2.612, 87.2
2.336, 86.7
2.207, 36.8
2.105, 48.3
2.098, 46.5
2.010, 21.1
1.779, 24.9
1.588, 17.4
1.521, 33.4
1.289, 17.7
1.218, 16.2

Structure:
Cell: 2.7528 4.4148 9.7222 Å, 90.00 90.00 90.00°
Element x y z (fractional)
Ca 0.0000 0.0000 0.0000
Ca 0.5000 0.5000 0.5000
Os 0.0000 0.0000 0.6957
Os 0.5000 0.5000 0.1957
Au 0.0000 0.0000 0.3018
Au 0.5000 0.5000 0.8018

=====

Record 7
Calculated XRD peak list of Ca2PAu3 for Cu Kα (weighted mean of Kα1 and Kα2), from a structure optimized by DFT (GGA-PBE).
Peak positions follow from Bragg's law for the DFT cell and can differ from measured ones.

Main lines, low angle first (2θ = 10–90°):
d [Å], I (rel.)
3.903, 94.0
3.837, 46.7
2.936, 26.8
2.777, 38.6
2.736, 100.0
2.347, 27.4
2.259, 65.7
2.194, 35.9
1.954, 73.3
1.913, 28.2
1.477, 34.2
1.458, 19.5

Structure:
Cell: 3.9032 4.3883 7.9032 Å, 90.00 90.00 90.00°
Element x y z (fractional)
Ca 0.0000 0.0000 0.0000
Ca 0.0000 0.5000 0.4869
P 0.5000 0.0000 0.3142
Au 0.5000 0.0000 0.6264
Au 0.5000 0.5000 0.1822
Au 0.5000 0.5000 0.8338

=====

Record 8
Calculated XRD peak list of CaPAu for Cu Kα (weighted mean of Kα1 and Kα2), from a structure optimized by DFT (GGA-PBE).
Peak positions follow from Bragg's law for the DFT cell and can differ from measured ones.

Main lines, low angle first (2θ = 10–90°):
d [Å], I (rel.)
7.480, 18.7
4.020, 100.0
2.951, 30.8
2.745, 38.3
2.432, 60.4
2.317, 15.8
2.087, 30.6
1.904, 37.5
1.852, 25.7
1.584, 32.2
1.406, 12.5
1.166, 12.7

Structure:
Cell: 4.1736 4.1736 14.9601 Å, 90.00 90.00 90.00°
Element x y z (fractional)
Ca 0.0000 0.0000 0.0000
Ca 0.0000 0.5000 0.2500
Ca 0.5000 0.0000 0.7500
Ca 0.5000 0.5000 0.5000
P 0.0000 0.5000 0.6744
P 0.0000 0.5000 0.8256
P 0.5000 0.0000 0.1744
P 0.5000 0.0000 0.3256
Au 0.0000 0.0000 0.4098
Au 0.0000 0.0000 0.5902
Au 0.5000 0.5000 0.0902
Au 0.5000 0.5000 0.9098

=====

Record 9
Calculated XRD peak list of Ca3P3Au for Cu Kα (weighted mean of Kα1 and Kα2), from a structure optimized by DFT (GGA-PBE).
Peak positions follow from Bragg's law for the DFT cell and can differ from measured ones.

Main lines, low angle first (2θ = 10–90°):
d [Å], I (rel.)
7.396, 56.9
4.566, 100.0
4.270, 13.5
3.698, 14.3
3.119, 48.7
2.902, 35.1
2.795, 16.3
2.518, 47.4
2.465, 45.3
1.934, 19.2
1.879, 39.3
1.628, 15.4

Structure:
Cell: 8.5396 8.5396 5.8041 Å, 90.00 90.00 120.00°
Element x y z (fractional)
Ca 0.0616 0.7000 0.2500
Ca 0.3000 0.3616 0.2500
Ca 0.3616 0.0616 0.7500
Ca 0.6384 0.9384 0.2500
Ca 0.7000 0.6384 0.7500
Ca 0.9384 0.3000 0.7500
P 0.0656 0.6936 0.7500
P 0.3064 0.3721 0.7500
P 0.3721 0.0656 0.2500
P 0.6279 0.9344 0.7500
P 0.6936 0.6279 0.2500
P 0.9344 0.3064 0.2500
Au 0.3333 0.6667 0.7500
Au 0.6667 0.3333 0.2500

=====

Record 10
Calculated XRD peak list of Ca3PAu for Cu Kα (weighted mean of Kα1 and Kα2), from a structure optimized by DFT (GGA-PBE).
Peak positions follow from Bragg's law for the DFT cell and can differ from measured ones.

Main lines, low angle first (2θ = 10–90°):
d [Å], I (rel.)
7.235, 67.9
4.872, 23.7
4.041, 73.1
3.670, 57.0
2.982, 100.0
2.905, 27.3
2.512, 48.6
2.436, 17.8
2.301, 36.5
2.255, 25.6
2.161, 23.7
1.655, 22.4

Structure:
Cell: 8.7161 4.1191 8.7299 Å, 90.00 112.09 90.00°
Element x y z (fractional)
Ca 0.0745 0.0000 0.3160
Ca 0.3152 0.0012 0.0736
Ca 0.3508 0.5007 0.6497
Ca 0.6492 0.5007 0.3503
Ca 0.6848 0.0012 0.9264
Ca 0.9255 0.0000 0.6840
P 0.0000 0.4999 0.5000
P 0.5000 0.5013 0.0000
Au 0.0000 0.5005 0.0000
Au 0.5000 0.0006 0.5000

=====

Record 11
Calculated XRD peak list of CaP12Au2 for Cu Kα (weighted mean of Kα1 and Kα2), from a structure optimized by DFT (GGA-PBE).
Peak positions follow from Bragg's law for the DFT cell and can differ from measured ones.

Main lines, low angle first (2θ = 10–90°):
d [Å], I (rel.)
4.834, 48.8
4.041, 100.0
3.691, 84.1
3.551, 79.8
2.725, 32.1
2.671, 42.6
2.418, 46.1
2.226, 42.3
2.076, 36.0
2.021, 38.3
1.951, 31.5
1.774, 33.3

Structure:
Cell: 5.7150 5.7150 9.0626 Å, 90.00 90.00 90.00°
Element x y z (fractional)
Ca 0.0000 0.0000 0.0000
P 0.0000 0.5000 0.0001
P 0.0000 0.5000 0.6515
P 0.2943 0.2988 0.7972
P 0.2943 0.7012 0.7972
P 0.2988 0.2943 0.2028
P 0.2988 0.7057 0.2028
P 0.5000 0.0000 0.9999
P 0.5000 0.0000 0.3485
P 0.7012 0.2943 0.2028
P 0.7012 0.7057 0.2028
P 0.7057 0.2988 0.7972
P 0.7057 0.7012 0.7972
Au 0.0000 0.5000 0.3942
Au 0.5000 0.0000 0.6058

=====

Record 12
Calculated XRD peak list of Ca8PbAu2 for Cu Kα (weighted mean of Kα1 and Kα2), from a structure optimized by DFT (GGA-PBE).
Peak positions follow from Bragg's law for the DFT cell and can differ from measured ones.

Main lines, low angle first (2θ = 10–90°):
d [Å], I (rel.)
4.996, 73.0
4.541, 91.7
4.328, 96.7
4.131, 100.0
4.083, 46.0
2.945, 52.9
2.922, 65.9
2.865, 40.5
2.763, 70.4
2.535, 75.9
2.470, 60.6
2.185, 40.4

Structure:
Cell: 8.3913 8.3913 5.7086 Å, 98.03 98.03 112.05°
Element x y z (fractional)
Ca 0.0000 0.0000 0.0000
Ca 0.0501 0.3117 0.6100
Ca 0.1365 0.6186 0.1944
Ca 0.3117 0.0501 0.6100
Ca 0.4435 0.7052 0.7788
Ca 0.6186 0.1365 0.1944
Ca 0.7052 0.4435 0.7788
Ca 0.7551 0.7551 0.3889
Pb 0.3775 0.3775 0.1953
Au 0.0613 0.6938 0.6944
Au 0.6938 0.0613 0.6944